Diffraction record for HoErIn3Si2. The powder X-ray diffraction pattern is simulated, not measured: it uses a structure optimized by DFT (PBE) and λ = 1.5418 Å (Cu Kα).
Neutral-atom scattering factors, no anomalous dispersion.

Largest 12 diffraction maxima, in order of rising 2θ, 10 to 90 degrees two-theta:
| h k l | Position (°2θ) | d (Å) | intensity |
| --- | --- | --- | --- |
| 1 1 1 | 26.77 | 3.330 | 10 |
| 3 1 0 | 33.24 | 2.695 | 43 |
| 1 1 -2 | 33.49 | 2.676 | 100 |
| 4 0 -1 | 34.64 | 2.590 | 20 |
| 3 1 1 | 37.40 | 2.404 | 28 |
| 4 0 -2 | 39.67 | 2.272 | 13 |
| 0 2 0 | 42.44 | 2.130 | 22 |
| 2 0 -4 | 53.24 | 1.721 | 10 |
| 2 2 2 | 55.16 | 1.665 | 11 |
| 4 2 -1 | 55.90 | 1.645 | 11 |
| 1 1 4 | 60.09 | 1.540 | 9 |
| 7 1 -1 | 65.53 | 1.424 | 12 |

Structure:
abc: 10.5929 4.2599 6.9744
angles: 90.00 99.75 90.00
Space group Cm (No. 8)
Asymmetric unit:
Ho (0.0000, 0.0000, 0.0000) [2 per cell]
Er (0.2417, 0.0000, 0.6649) [2 per cell]
In (0.1210, 0.5000, 0.3328) [2 per cell]
In (0.3165, 0.0000, 0.1819) [2 per cell]
In (0.4250, 0.5000, 0.4830) [2 per cell]
Si (0.0273, 0.5000, 0.7148) [2 per cell]
Si (0.2142, 0.5000, 0.9488) [2 per cell]

=====

Diffraction record for Ho3Er2Lu2Te2Ir2. The powder X-ray diffraction pattern is simulated, not measured: it uses a structure optimized by DFT (PBE) and λ = 1.5418 Å (Cu Kα).
Neutral-atom scattering factors, no anomalous dispersion.

Largest 12 diffraction maxima, in order of rising 2θ, 10 to 90 degrees two-theta:
| h k l | Position (°2θ) | d (Å) | intensity |
| --- | --- | --- | --- |
| 0 2 0 | 11.36 | 7.787 | 26 |
| 1 3 0 | 28.51 | 3.131 | 13 |
| 0 5 1 | 30.28 | 2.951 | 56 |
| 0 3 3 | 33.58 | 2.669 | 45 |
| 1 4 1 | 33.82 | 2.650 | 100 |
| 1 3 2 | 34.51 | 2.599 | 51 |
| 1 0 3 | 36.86 | 2.438 | 25 |
| 1 2 3 | 38.69 | 2.327 | 27 |
| 0 6 2 | 39.73 | 2.269 | 12 |
| 1 6 1 | 42.88 | 2.109 | 10 |
| 2 0 0 | 46.27 | 1.962 | 28 |
| 2 3 3 | 58.34 | 1.582 | 25 |

Structure:
abc: 3.9246 15.5740 9.3361
angles: 90.00 90.00 90.00
Space group Imm2 (No. 44)
Asymmetric unit:
Ho (0.0000, 0.0000, 0.0000) [2 per cell]
Ho (0.0000, 0.3523, 0.7340) [4 per cell]
Er (0.0000, 0.1321, 0.5844) [4 per cell]
Lu (0.0000, 0.3149, 0.3722) [4 per cell]
Te (0.0000, 0.0000, 0.3384) [2 per cell]
Te (0.0000, 0.5000, 0.2367) [2 per cell]
Ir (0.0000, 0.2385, 0.0689) [4 per cell]